[1]
The following is a calculated powder XRD pattern of NaLiHgPb. It was derived from a cell relaxed with GGA-PBE, using λ = 1.5418 Å (Cu Kα).

Atomic structure:
```
16
Lattice="7.251 0.000 0.000 0.000 7.251 0.000 0.000 0.000 7.251" Properties=species:S:1:pos:R:3 pbc="T T T"
Na 0.000 0.000 0.000
Na 0.000 3.625 3.625
Na 3.625 0.000 3.625
Na 3.625 3.625 0.000
Li 1.813 1.813 1.813
Li 1.813 5.438 5.438
Li 5.438 1.813 5.438
Li 5.438 5.438 1.813
Hg 1.813 1.813 5.438
Hg 1.813 5.438 1.813
Hg 5.438 1.813 1.813
Hg 5.438 5.438 5.438
Pb 0.000 0.000 3.625
Pb 0.000 3.625 0.000
Pb 3.625 0.000 0.000
Pb 3.625 3.625 3.625
```

Most intense lines, 10° ≤ 2θ ≤ 90°, low angle first:
Position (°2θ)	I (rel.)
21.22	85
35.00	100
41.30	48
50.34	18
55.22	21
62.78	38
67.07	16
73.95	12
77.95	16
84.51	17

[2]
The following is a calculated powder XRD pattern of Mg2Mn3CrS8. It was derived from a cell relaxed with GGA-PBE, using λ = 1.5418 Å (Cu Kα).

Atomic structure:
```
14
Lattice="3.628 2.095 5.956 -3.628 2.095 5.956 0.000 -4.190 5.956" Properties=species:S:1:pos:R:3 pbc="T T T"
Mg 0.000 0.000 2.272
Mg 0.000 0.000 15.596
Mn -1.814 -1.047 5.956
Mn -1.814 1.047 11.912
Mn 0.000 2.095 5.956
Cr 0.000 0.000 8.934
S 0.000 0.000 4.708
S 0.000 -1.884 7.411
S -1.631 0.942 7.411
S -1.631 -0.942 10.457
S 1.631 0.942 7.411
S 1.631 -0.942 10.457
S 0.000 1.884 10.457
S 0.000 0.000 13.160
```

Most intense lines, 10° ≤ 2θ ≤ 90°, low angle first:
Position (°2θ)	I (rel.)
14.93	74
28.79	53
28.85	19
34.91	100
45.85	34
45.92	12
50.11	48
50.30	47
62.69	14
73.73	13